For LaFe4Cu3O12, DFT lattice parameters and positions (GGA+U) gives the calculated powder diffraction line list in this record (Cu Ka).
Intensities are scaled so that the largest is 100.

Top 6 peaks for 2θ = 5–70°, by angle:
2θ/deg, I_rel
16.69, 7.9
33.74, 100.0
37.86, 9.0
45.15, 7.9
48.46, 23.6
60.35, 47.9

Cell and atoms:
Cell lengths 6.5074, 6.5074, 6.5074 Å; angles 109.47, 109.47, 109.47 degrees
Fractional coordinates of all 20 atoms:
La 0.0000 0.0000 0.0000
Fe 0.0000 0.0000 0.5000
Fe 0.0000 0.5000 0.0000
Fe 0.5000 0.0000 0.0000
Fe 0.5000 0.5000 0.5000
Cu 0.0000 0.5000 0.5000
Cu 0.5000 0.0000 0.5000
Cu 0.5000 0.5000 0.0000
O 0.1453 0.8333 0.3120
O 0.1667 0.3120 0.4788
O 0.1667 0.6880 0.8547
O 0.3120 0.1453 0.8333
O 0.3120 0.4788 0.1667
O 0.4788 0.1667 0.3120
O 0.5212 0.8333 0.6880
O 0.6880 0.5212 0.8333
O 0.6880 0.8547 0.1667
O 0.8333 0.3120 0.1453
O 0.8333 0.6880 0.5212
O 0.8547 0.1667 0.6880